# TmN2F4
Theoretical X-ray powder pattern, Cu Kα (λ = 1.5418 Å). Input: a cell relaxed with GGA-PBE.
Lines closer than 0.1° are merged.

Principal peaks in the range 2θ = 10–90°, by angle:
10.46°, rel. 100, (0 0 1)
21.00°, rel. 22, (0 0 2)
26.08°, rel. 10, (0 1 0)
26.52°, rel. 10, (1 0 0)
26.84°, rel. 14, (1 1 0)
27.26°, rel. 21, (1 0 1)
27.95°, rel. 11, (0 1 1)
28.39°, rel. 9, (0 1 -1)
31.73°, rel. 9, (0 0 3)
46.86°, rel. 11, (2 1 1)

Structure:
Unit cell a=3.8832 b=3.9126 c=8.5759 alpha=84.37 beta=80.64 gamma=60.85
Space group P-1 (No. 2)
Symmetry-distinct sites (fractional):
Tm  0.0000  0.0000  0.0000
N  0.4579  0.5305  0.5644
F  0.0637  0.0811  0.7480
F  0.3157  0.3282  0.0554

---

# RbY2PuO8
Theoretical X-ray powder pattern, Cu Kα (λ = 1.5418 Å). Input: a cell relaxed with GGA-PBE.
Lines closer than 0.1° are merged.

Principal peaks in the range 2θ = 10–90°, by angle:
11.38°, rel. 52, (0 0 1)
20.81°, rel. 22, (1 1 -1)
24.59°, rel. 56, (0 2 0)
24.72°, rel. 61, (2 0 0)
28.86°, rel. 100, (1 1 2)
35.15°, rel. 30, (2 2 0)
46.02°, rel. 36, (1 3 2)
46.11°, rel. 19, (3 1 -2)
46.22°, rel. 19, (3 1 2)
59.26°, rel. 21, (3 3 2)

Structure:
Unit cell a=7.2027 b=7.2400 c=7.7788 alpha=90.00 beta=90.16 gamma=90.00
Space group C2/m (No. 12)
Symmetry-distinct sites (fractional):
Rb  0.0000  0.0000  0.0000
Y  0.0003  0.5000  0.2840
Pu  0.0000  0.0000  0.5000
O  0.0009  0.1870  0.6842
O  0.1055  0.5000  0.0003
O  0.2041  0.5000  0.5006